This entry pairs a crystal structure of NaAc2SbSe6 with its calculated X-ray diffraction stick pattern. Radiation: Cu Kα X-rays. Structure: a structure optimized by DFT (GGA-PBE).

Most intense lines, 2θ = 15–90°, in order of rising 2θ:
2theta	I (rel.)
18.67	51
19.03	50
23.91	57
24.47	58
28.54	94
30.92	69
34.75	100
35.14	97
37.27	49
42.95	56

Crystal structure
Lattice parameters (Å, degrees): 7.145 7.921 12.289 90.00 123.76 90.00
Positions (direct):
Na 0.000 0.000 0.000
Na 0.000 0.500 0.500
Ac 0.209 0.103 0.749
Ac 0.209 0.397 0.249
Ac 0.791 0.603 0.751
Ac 0.791 0.897 0.251
Sb 0.500 0.000 0.500
Sb 0.500 0.500 0.000
Se 0.133 0.172 0.446
Se 0.133 0.328 0.946
Se 0.275 0.699 0.442
Se 0.275 0.801 0.942
Se 0.386 0.036 0.256
Se 0.386 0.464 0.756
Se 0.614 0.536 0.244
Se 0.614 0.964 0.744
Se 0.725 0.199 0.058
Se 0.725 0.301 0.558
Se 0.867 0.672 0.054
Se 0.867 0.828 0.554